For Mg5Si6, a crystal structure in the Materials Project, relaxed with GGA-PBE gives the calculated powder X-ray diffraction pattern in this record (Cu Kα, 1.54184 Å).

The 10 most intense peaks (2θ = 5–70°), sorted by position:
| d (Å) | I (rel.) |
| --- | --- |
| 2.609 | 134 |
| 2.539 | 597 |
| 2.525 | 1000 |
| 2.404 | 511 |
| 2.250 | 351 |
| 2.238 | 320 |
| 2.168 | 189 |
| 1.988 | 500 |
| 1.862 | 167 |
| 1.490 | 144 |

Crystal structure
```
Mg5Si6
1.0
15.2514 -1.9882 0.0000
15.2514 1.9882 0.0000
-1.5078 0.0000 6.7881
Mg Si
10 12
Direct
0.0000 0.0000 0.0000
0.2117 0.2117 0.6451
0.2509 0.2509 0.1792
0.3265 0.3265 0.8687
0.3655 0.3655 0.4117
0.5228 0.5228 0.3765
0.5830 0.5830 0.0297
0.6228 0.6228 0.5559
0.7890 0.7890 0.5253
0.9564 0.9564 0.5110
0.0750 0.0750 0.3101
0.1401 0.1401 0.8720
0.1476 0.1476 0.2348
0.4336 0.4336 0.7970
0.4365 0.4365 0.1577
0.5077 0.5077 0.7365
0.6887 0.6887 0.9612
0.6964 0.6964 0.3336
0.7617 0.7617 0.8767
0.8169 0.8169 0.1746
0.8822 0.8822 0.7153
0.8890 0.8890 0.0814
```

For Mg5Si6, a crystal structure in the Materials Project, relaxed with GGA-PBE gives the calculated powder X-ray diffraction pattern in this record (Cu Kα, 1.54184 Å).

The 10 most intense peaks (2θ = 5–70°), sorted by position:
| d (Å) | I (rel.) |
| --- | --- |
| 2.573 | 414 |
| 2.461 | 561 |
| 2.443 | 421 |
| 2.421 | 294 |
| 2.383 | 799 |
| 2.367 | 1000 |
| 2.348 | 391 |
| 2.255 | 329 |
| 2.189 | 399 |
| 2.183 | 364 |

Crystal structure
```
Mg5Si6
1.0
4.7370 0.0000 0.0000
2.2238 5.2080 0.0000
2.2045 0.0709 16.5039
Mg Si
10 12
Direct
0.0000 0.0000 0.0000
0.0052 0.8382 0.1815
0.1646 0.1882 0.6942
0.2901 0.2557 0.1961
0.3216 0.0056 0.5061
0.4446 0.4565 0.9868
0.5070 0.7984 0.3279
0.6404 0.4099 0.4632
0.8450 0.7863 0.7297
0.9923 0.4332 0.8707
0.2310 0.3046 0.3634
0.2560 0.8793 0.8451
0.4700 0.5828 0.6232
0.4958 0.9190 0.0748
0.5042 0.4639 0.7746
0.6448 0.0663 0.8697
0.6498 0.5225 0.1940
0.7430 0.1153 0.6031
0.8109 0.1745 0.3127
0.9031 0.5009 0.0563
0.9597 0.6633 0.5641
0.9938 0.7363 0.4163
```

For Mg2Si3, a crystal structure in the Materials Project, relaxed with GGA-PBE gives the calculated powder X-ray diffraction pattern in this record (Cu Kα, 1.54184 Å).

The 10 most intense peaks (2θ = 5–70°), sorted by position:
| d (Å) | I (rel.) |
| --- | --- |
| 2.994 | 529 |
| 2.612 | 1000 |
| 2.565 | 914 |
| 2.550 | 618 |
| 2.505 | 505 |
| 2.471 | 518 |
| 2.330 | 698 |
| 2.277 | 835 |
| 2.174 | 503 |
| 1.787 | 844 |

Crystal structure
```
Mg2Si3
1.0
5.7712 -1.7866 0.0000
5.7712 1.7866 0.0000
-1.5512 0.0000 17.9307
Mg Si
8 12
Direct
0.0000 0.0000 0.0000
0.1221 0.1221 0.8524
0.2555 0.2555 0.5080
0.5330 0.5330 0.2494
0.6580 0.6580 0.1069
0.8019 0.8019 0.7659
0.8708 0.8708 0.3531
0.9221 0.9221 0.6171
0.1328 0.1328 0.7023
0.1779 0.1779 0.3629
0.2245 0.2245 0.2330
0.2467 0.2467 0.0047
0.4097 0.4097 0.1044
0.4328 0.4328 0.8744
0.4916 0.4916 0.7433
0.5145 0.5145 0.5224
0.5558 0.5558 0.3978
0.6813 0.6813 0.6136
0.7904 0.7904 0.9166
0.8632 0.8632 0.1951
```

For Mg2Si3, a crystal structure in the Materials Project, relaxed with GGA-PBE gives the calculated powder X-ray diffraction pattern in this record (Cu Kα, 1.54184 Å).

The 10 most intense peaks (2θ = 5–70°), sorted by position:
| d (Å) | I (rel.) |
| --- | --- |
| 2.642 | 663 |
| 2.593 | 483 |
| 2.507 | 950 |
| 2.387 | 262 |
| 2.257 | 577 |
| 2.209 | 871 |
| 2.156 | 1000 |
| 2.095 | 181 |
| 1.969 | 253 |
| 1.470 | 192 |

Crystal structure
```
Mg2Si3
1.0
4.8141 -2.2088 0.0000
4.8141 2.2088 0.0000
-3.7378 0.0000 8.3802
Mg Si
4 6
Direct
0.0127 0.0127 0.1806
0.1774 0.1774 0.5951
0.8226 0.8226 0.4049
0.9873 0.9873 0.8194
0.2895 0.2895 0.1605
0.3578 0.3578 0.9386
0.4647 0.4647 0.6146
0.5353 0.5353 0.3854
0.6422 0.6422 0.0614
0.7105 0.7105 0.8395
```